Simulated powder diffractogram of Sc2In3Ga3 for copper Kα, from the PBE geometry in Alexandria.

Most intense lines, 2θ = 10–90°, in order of rising 2θ:
| index | 2θ (°) | I_rel |
| --- | --- | --- |
| 0 0 2 | 20.13 | 9 |
| 1 1 2 | 35.83 | 100 |
| 0 0 4 | 40.93 | 17 |
| 0 2 0 | 41.45 | 17 |
| 2 0 0 | 42.46 | 15 |
| 0 2 4 | 59.67 | 11 |
| 2 0 4 | 60.44 | 10 |
| 2 2 0 | 60.84 | 10 |
| 1 1 6 | 71.23 | 12 |
| 1 3 2 | 71.96 | 12 |
| 3 1 2 | 73.36 | 11 |
| 2 2 4 | 75.95 | 10 |

Structure:
Lattice parameters (Å, degrees): 4.2583 4.3565 8.8205 90.00 90.00 90.00
Space group Pmmm (No. 47)
Inequivalent atoms, fractional coordinates:
Sc: 0.0000 0.0000 0.2402 x2
In: 0.0000 0.5000 0.0000 x1
In: 0.0000 0.5000 0.5000 x1
In: 0.5000 0.0000 0.5000 x1
Ga: 0.5000 0.0000 0.0000 x1
Ga: 0.5000 0.5000 0.2418 x2

Simulated powder diffractogram of Li2Y3Tl3 for copper Kα, from the PBE geometry in Alexandria.

Most intense lines, 2θ = 10–90°, in order of rising 2θ:
| index | 2θ (°) | I_rel |
| --- | --- | --- |
| 1 1 0 | 20.76 | 63 |
| 0 2 3 | 23.43 | 37 |
| 1 1 3 | 27.00 | 100 |
| 1 3 0 | 30.87 | 65 |
| 1 1 4 | 31.05 | 92 |
| 0 4 0 | 32.17 | 58 |
| 0 2 5 | 32.95 | 29 |
| 1 3 3 | 35.49 | 62 |
| 1 3 4 | 38.74 | 36 |
| 2 0 0 | 38.86 | 53 |
| 0 2 7 | 43.81 | 38 |
| 2 4 0 | 51.29 | 40 |

Structure:
Lattice parameters (Å, degrees): 4.6345 11.1296 15.5807 90.00 90.00 90.00
Space group Cmcm (No. 63)
Inequivalent atoms, fractional coordinates:
Li: 0.0000 0.2164 0.0936 x8
Y: 0.0000 0.0829 0.6101 x8
Y: 0.0000 0.3615 0.7500 x4
Tl: 0.0000 0.3461 0.2500 x4
Tl: 0.0000 0.3828 0.5478 x8

Simulated powder diffractogram of PmPd2Au8 for copper Kα, from the PBE geometry in Alexandria.

Most intense lines, 2θ = 10–90°, in order of rising 2θ:
| index | 2θ (°) | I_rel |
| --- | --- | --- |
| 2 0 1 | 29.52 | 20 |
| 2 2 1 | 33.29 | 22 |
| 0 4 1 | 37.21 | 100 |
| 3 1 1 | 38.52 | 74 |
| 3 3 0 | 38.73 | 44 |
| 0 0 2 | 42.74 | 36 |
| 3 5 0 | 49.99 | 13 |
| 3 3 2 | 59.03 | 26 |
| 3 7 1 | 68.24 | 18 |
| 0 4 3 | 74.62 | 13 |
| 6 4 1 | 76.95 | 23 |
| 6 0 2 | 80.58 | 11 |

Structure:
Lattice parameters (Å, degrees): 8.6595 11.7727 4.2310 90.00 90.00 90.00
Space group Cmmm (No. 65)
Inequivalent atoms, fractional coordinates:
Pm: 0.0000 0.0000 0.0000 x2
Pd: 0.0000 0.3850 0.5000 x4
Au: 0.0000 0.2485 0.0000 x4
Au: 0.1634 0.5000 0.0000 x4
Au: 0.1771 0.1383 0.5000 x8

Simulated powder diffractogram of TlCdF3 for copper Kα, from the PBE geometry in Alexandria.

Most intense lines, 2θ = 10–90°, in order of rising 2θ:
| index | 2θ (°) | I_rel |
| --- | --- | --- |
| 0 4 0 | 27.24 | 28 |
| 2 2 1 | 28.18 | 100 |
| 0 0 2 | 30.05 | 28 |
| 2 4 1 | 37.03 | 11 |
| 4 0 0 | 39.53 | 20 |
| 0 4 2 | 41.00 | 20 |
| 4 4 0 | 48.70 | 26 |
| 4 0 2 | 50.44 | 13 |
| 2 2 3 | 52.22 | 13 |
| 4 4 2 | 58.26 | 14 |
| 6 2 1 | 64.91 | 10 |
| 4 8 1 | 72.89 | 8 |

Structure:
Lattice parameters (Å, degrees): 9.1192 13.0963 5.9477 90.00 90.00 90.00
Space group Cmce (No. 64)
Inequivalent atoms, fractional coordinates:
Tl: 0.2500 0.1506 0.2500 x8
Cd: 0.0000 0.1195 0.6953 x8
F: 0.0000 0.0480 0.2993 x8
F: 0.0000 0.2375 0.9791 x8
F: 0.2500 0.1181 0.7500 x8

Simulated powder diffractogram of CeNb4O12 for copper Kα, from the PBE geometry in Alexandria.

Most intense lines, 2θ = 10–90°, in order of rising 2θ:
| index | 2θ (°) | I_rel |
| --- | --- | --- |
| 1 1 0 | 15.95 | 61 |
| 2 0 0 | 22.59 | 39 |
| 0 0 2 | 22.72 | 16 |
| 1 1 2 | 27.81 | 26 |
| 2 0 2 | 32.22 | 100 |
| 3 0 1 | 36.09 | 14 |
| 2 1 3 | 43.15 | 12 |
| 4 0 0 | 46.12 | 26 |
| 4 0 2 | 51.98 | 13 |
| 4 2 2 | 57.39 | 30 |
| 2 2 4 | 57.58 | 18 |
| 6 0 2 | 76.56 | 11 |

Structure:
Lattice parameters (Å, degrees): 7.8733 7.8733 7.8272 90.00 90.00 90.00
Space group I4mm (No. 107)
Inequivalent atoms, fractional coordinates:
Ce: 0.0000 0.0000 0.0000 x2
Nb: 0.2460 0.2460 0.2658 x8
O: 0.0000 0.2398 0.1840 x8
O: 0.0000 0.2411 0.8027 x8
O: 0.2086 0.2086 0.4937 x8

Simulated powder diffractogram of DySi3Rh5 for copper Kα, from the PBE geometry in Alexandria.

Most intense lines, 2θ = 10–90°, in order of rising 2θ:
| index | 2θ (°) | I_rel |
| --- | --- | --- |
| 2 3 0 | 28.82 | 26 |
| 4 0 1 | 35.18 | 14 |
| 2 3 1 | 37.10 | 100 |
| 1 4 1 | 38.32 | 7 |
| 6 0 0 | 40.03 | 7 |
| 5 2 0 | 41.74 | 8 |
| 0 0 2 | 46.79 | 19 |
| 3 5 0 | 47.07 | 10 |
| 7 1 0 | 51.02 | 15 |
| 4 6 1 | 64.75 | 7 |
| 7 1 2 | 71.71 | 11 |
| 2 3 3 | 80.39 | 10 |

Structure:
Lattice parameters (Å, degrees): 15.6053 15.6053 3.8833 90.00 90.00 120.00
Space group P6_3/m (No. 176)
Inequivalent atoms, fractional coordinates:
Dy: 0.1000 0.3942 0.2500 x6
Si: 0.0615 0.6295 0.2500 x6
Si: 0.1192 0.2501 0.7500 x6
Si: 0.2397 0.5582 0.7500 x6
Rh: 0.0279 0.1393 0.2500 x6
Rh: 0.0440 0.7736 0.2500 x6
Rh: 0.0751 0.5364 0.7500 x6
Rh: 0.1530 0.7391 0.7500 x6
Rh: 0.2234 0.6525 0.2500 x6